La3Pr7Er2: simulated powder diffraction line list (Cu Kα (λ = 1.5418 Å)), based on a DFT-relaxed cell (GGA-PBE, Alexandria).

Peak list (12 most intense, 2θ from 10° to 80°, by angle)
27.96°, I 20
28.41°, I 22
29.73°, I 18
29.99°, I 66
30.94°, I 91
31.81°, I 100
48.27°, I 26
53.85°, I 19
54.41°, I 22
57.88°, I 30
59.47°, I 19
60.02°, I 29

a b c (Å): 6.610 3.644 17.875
angles (deg): 90.00 90.01 90.00
Space group P2/m (No. 10)
Symmetry-distinct sites (fractional):
La 0.000 0.000 0.000
La 0.500 0.500 0.337
Pr 0.173 0.500 0.169
Pr 0.255 0.000 0.501
Pr 0.323 0.000 0.832
Pr 0.500 0.500 0.000
Er 0.003 0.000 0.330